[1]
# TlCdSe2
Calculated powder diffraction line list, Cu Kα, 1.54184 Å. Input: a crystal structure in the Materials Project, relaxed with GGA-PBE.
Lines closer than 0.1° are merged.

Structural model:
Unit cell a=4.1152 b=4.1152 c=7.1781 alpha=90.00 beta=90.00 gamma=120.00
Space group P-3m1 (No. 164)
Symmetry-distinct sites (fractional):
Tl 0.0000 0.0000 0.0000
Cd 0.0000 0.0000 0.5000
Se 0.3333 0.6667 0.2760

Top 8 peaks for 2θ from 5° to 70°, sorted by position:
| two_theta | I/Imax | (hkl) |
| --- | --- | --- |
| 24.99 | 44 | 1 0 0 |
| 27.95 | 34 | 0 1 1 |
| 35.50 | 100 | 1 0 2 |
| 44.01 | 40 | 1 1 0 |
| 51.22 | 13 | 2 0 0 |
| 57.50 | 11 | 0 1 4 |
| 57.77 | 24 | 0 2 2 |
| 69.50 | 18 | 1 1 4 |

---

[2]
# Tm4CdSe7
Calculated powder diffraction line list, Cu Kα, 1.54184 Å. Input: a crystal structure in the Materials Project, relaxed with GGA-PBE.
Lines closer than 0.1° are merged.

Structural model:
Unit cell a=13.197 b=3.951 c=12.065 alpha=90.00 beta=104.79 gamma=90.00
Space group Cm (No. 8)
Symmetry-distinct sites (fractional):
Tm 0.000 0.000 0.000
Tm 0.079 0.500 0.374
Tm 0.194 0.500 0.804
Tm 0.388 0.000 0.607
Cd 0.310 0.500 0.223
Se 0.034 0.000 0.751
Se 0.156 0.500 0.019
Se 0.194 0.000 0.305
Se 0.233 0.500 0.588
Se 0.354 0.000 0.851
Se 0.438 0.000 0.153
Se 0.453 0.500 0.450

Top 8 peaks for 2θ from 5° to 70°, sorted by position:
| two_theta | I/Imax | (hkl) |
| --- | --- | --- |
| 23.14 | 85 | 2 0 2 |
| 23.56 | 91 | 2 0 -3 |
| 30.50 | 76 | 3 1 -1 |
| 30.89 | 52 | 3 1 0 |
| 32.04 | 91 | 3 1 -2 |
| 33.15 | 76 | 3 1 1 |
| 40.49 | 52 | 1 1 4 |
| 45.94 | 100 | 0 2 0 |

---

[3]
# ZnCd3Se4
Calculated powder diffraction line list, Cu Kα, 1.54184 Å. Input: a crystal structure in the Materials Project, relaxed with GGA-PBE.
Lines closer than 0.1° are merged.

Structural model:
Unit cell a=6.090 b=6.090 c=6.090 alpha=90.00 beta=90.00 gamma=90.00
Space group P-43m (No. 215)
Symmetry-distinct sites (fractional):
Zn 0.000 0.000 0.000
Cd 0.000 0.500 0.500
Se 0.238 0.238 0.238

Top 8 peaks for 2θ from 5° to 70°, sorted by position:
| two_theta | I/Imax | (hkl) |
| --- | --- | --- |
| 25.33 | 100 | 1 1 1 |
| 29.33 | 2 | 2 0 0 |
| 32.88 | 3 | 2 1 0 |
| 36.13 | 2 | 2 1 1 |
| 41.96 | 74 | 2 2 0 |
| 49.65 | 45 | 3 1 1 |
| 60.84 | 12 | 4 0 0 |
| 66.98 | 18 | 3 3 1 |

---

[4]
# Zn4CdSe5
Calculated powder diffraction line list, Cu Kα, 1.54184 Å. Input: a crystal structure in the Materials Project, relaxed with GGA-PBE.
Lines closer than 0.1° are merged.

Structural model:
Unit cell a=4.118 b=4.118 c=29.316 alpha=90.00 beta=90.00 gamma=90.00
Space group I-4m2 (No. 119)
Symmetry-distinct sites (fractional):
Zn 0.000 0.000 0.105
Zn 0.000 0.000 0.299
Cd 0.000 0.000 0.500
Se 0.000 0.500 0.152
Se 0.000 0.500 0.557
Se 0.000 0.500 0.750

Top 8 peaks for 2θ from 5° to 70°, sorted by position:
| two_theta | I/Imax | (hkl) |
| --- | --- | --- |
| 26.45 | 100 | 1 0 5 |
| 39.53 | 2 | 1 1 8 |
| 43.82 | 48 | 1 1 10 |
| 43.98 | 25 | 2 0 0 |
| 51.78 | 13 | 1 0 15 |
| 52.05 | 30 | 2 1 5 |
| 63.46 | 3 | 0 0 20 |
| 63.94 | 8 | 2 2 0 |

---

[5]
# Zn3CdSe4
Calculated powder diffraction line list, Cu Kα, 1.54184 Å. Input: a crystal structure in the Materials Project, relaxed with GGA-PBE.
Lines closer than 0.1° are merged.

Structural model:
Unit cell a=4.140 b=8.287 c=11.727 alpha=90.00 beta=90.00 gamma=90.00
Space group Amm2 (No. 38)
Symmetry-distinct sites (fractional):
Zn 0.000 0.000 0.000
Zn 0.500 0.249 0.750
Cd 0.000 0.000 0.501
Se 0.000 0.239 0.131
Se 0.500 0.000 0.363
Se 0.500 0.000 0.875

Top 8 peaks for 2θ from 5° to 70°, sorted by position:
| two_theta | I/Imax | (hkl) |
| --- | --- | --- |
| 25.21 | 1 | 0 1 3 |
| 26.35 | 100 | 1 0 2 |
| 33.33 | 2 | 1 1 3 |
| 39.97 | 1 | 0 1 5 |
| 43.70 | 74 | 2 0 0 |
| 51.75 | 44 | 2 2 2 |
| 63.51 | 12 | 2 4 0 |
| 69.98 | 14 | 2 2 6 |

---

[6]
# Zn3CdSe4
Calculated powder diffraction line list, Cu Kα, 1.54184 Å. Input: a crystal structure in the Materials Project, relaxed with GGA-PBE.
Lines closer than 0.1° are merged.

Structural model:
Unit cell a=5.860 b=5.860 c=5.860 alpha=90.00 beta=90.00 gamma=90.00
Space group P-43m (No. 215)
Symmetry-distinct sites (fractional):
Zn 0.000 0.000 0.500
Cd 0.500 0.500 0.500
Se 0.238 0.238 0.762

Top 8 peaks for 2θ from 5° to 70°, sorted by position:
| two_theta | I/Imax | (hkl) |
| --- | --- | --- |
| 21.44 | 2 | 1 1 0 |
| 26.34 | 100 | 1 1 1 |
| 34.22 | 3 | 2 1 0 |
| 37.60 | 2 | 2 1 1 |
| 43.69 | 74 | 2 2 0 |
| 51.74 | 44 | 3 1 1 |
| 63.50 | 11 | 4 0 0 |
| 69.98 | 17 | 3 3 1 |

---

[7]
# Zn4CdSe5
Calculated powder diffraction line list, Cu Kα, 1.54184 Å. Input: a crystal structure in the Materials Project, relaxed with GGA-PBE.
Lines closer than 0.1° are merged.

Structural model:
Unit cell a=4.1225 b=4.1225 c=50.8658 alpha=90.00 beta=90.00 gamma=120.00
Space group R3m (No. 160, hexagonal axes)
Symmetry-distinct sites (fractional):
Zn 0.0000 0.0000 0.0000
Zn 0.0000 0.0000 0.1945
Zn 0.0000 0.0000 0.3979
Zn 0.0000 0.0000 0.7964
Cd 0.0000 0.0000 0.5960
Se 0.0000 0.0000 0.1455
Se 0.0000 0.0000 0.3490
Se 0.0000 0.0000 0.5435
Se 0.0000 0.0000 0.7473
Se 0.0000 0.0000 0.9513

Top 8 peaks for 2θ from 5° to 70°, sorted by position:
| two_theta | I/Imax | (hkl) |
| --- | --- | --- |
| 26.28 | 31 | 0 0 15 |
| 26.46 | 100 | 0 1 5 |
| 43.70 | 46 | 0 1 20 |
| 43.93 | 49 | 1 1 0 |
| 51.71 | 14 | 1 0 25 |
| 51.95 | 42 | 2 0 5 |
| 63.69 | 14 | 2 0 20 |
| 69.88 | 4 | 0 1 35 |

---

[8]
# SmCd11
Calculated powder diffraction line list, Cu Kα, 1.54184 Å. Input: a crystal structure in the Materials Project, relaxed with GGA-PBE.
Lines closer than 0.1° are merged.

Structural model:
Unit cell a=9.443 b=9.443 c=9.443 alpha=90.00 beta=90.00 gamma=90.00
Space group Pm-3m (No. 221)
Symmetry-distinct sites (fractional):
Sm 0.000 0.000 0.500
Cd 0.000 0.345 0.345
Cd 0.155 0.155 0.155
Cd 0.265 0.265 0.500
Cd 0.500 0.500 0.500

Top 8 peaks for 2θ from 5° to 70°, sorted by position:
| two_theta | I/Imax | (hkl) |
| --- | --- | --- |
| 29.92 | 38 | 3 1 0 |
| 31.42 | 97 | 3 1 1 |
| 32.86 | 85 | 2 2 2 |
| 34.24 | 48 | 3 2 0 |
| 39.34 | 100 | 4 1 0 |
| 40.53 | 70 | 3 3 0 |
| 43.94 | 54 | 4 2 1 |
| 63.04 | 32 | 5 4 0 |